Starting from a structure optimized by DFT (PBE), the powder diffractogram of Ce5PuRh5 was simulated for a wavelength of 1.5418 Å.

Atomic structure:
```
11
Lattice="6.3055 -2.8167 0.0000 6.3055 2.8167 0.0000 -2.5768 0.0000 7.6215" Properties=species:S:1:pos:R:3 pbc="T T T"
Ce 0.0000 0.0000 0.0000
Ce 3.7396 0.0000 1.2879
Ce 2.4712 0.0000 5.0449
Ce 7.5630 0.0000 2.5767
Ce 6.2946 0.0000 6.3336
Pu -1.2884 0.0000 3.8108
Rh 1.1803 0.0000 2.4640
Rh -0.0593 0.0000 6.3909
Rh 5.0171 0.0000 3.8108
Rh 10.0935 0.0000 1.2306
Rh 8.8539 0.0000 5.1575
```

The 10 most intense peaks (2θ from 5° to 70°), most intense first:
two_theta	Rel. int.
31.6	100
45.4	73
31.8	50
56.2	20
56.6	19
45.1	19
45.6	18
27.2	11
27.4	11
17.4	9